No. 1
Structure and simulated X-ray diffraction stick pattern of SmThAsS (a crystal structure in Alexandria, relaxed with GGA-PBE; λ = 1.5418 Å (Cu Kα)).
Neutral-atom scattering factors, no anomalous dispersion.

Principal peaks in the range 2θ = 5–70°, in order of rising 2θ:
d (Å)  Position (°2θ)  intensity
4.119  21.6  13
3.374  26.4  84
2.942  30.4  51
2.912  30.7  100
2.394  37.6  7
2.070  43.7  76
2.059  44.0  37
1.771  51.6  14
1.758  52.0  28
1.687  54.4  40
1.471  63.2  6
1.456  63.9  12

Crystal structure
Cell lengths 4.1189, 4.1189, 5.8838 Å; angles 90.00, 90.00, 90.00 degrees
Fractional coordinates of all 4 atoms:
Sm 0.0000 0.0000 0.0000
Th 0.5000 0.5000 0.5000
As 0.5000 0.5000 0.0000
S 0.0000 0.0000 0.5000



No. 2
Structure and simulated X-ray diffraction stick pattern of CaH4NCl3 (a crystal structure in Alexandria, relaxed with GGA-PBE; λ = 1.5418 Å (Cu Kα)).
Neutral-atom scattering factors, no anomalous dispersion.

Principal peaks in the range 2θ = 5–70°, in order of rising 2θ:
d (Å)  Position (°2θ)  intensity
7.078  12.5  97
5.144  17.2  45
3.146  28.4  86
3.086  28.9  100
3.054  29.2  70
3.008  29.7  59
2.928  30.5  59
2.683  33.4  39
2.626  34.1  37
2.572  34.9  44
2.149  42.1  59
2.055  44.1  37

Crystal structure
Cell lengths 4.1110, 10.2876, 7.3147 Å; angles 90.00, 104.62, 90.00 degrees
Fractional coordinates of all 18 atoms:
Ca 0.0388 0.0000 0.4930
Ca 0.9612 0.5000 0.5070
H 0.0354 0.8055 0.9079
H 0.1584 0.7268 0.1186
H 0.3558 0.6962 0.9427
H 0.4021 0.8407 0.0605
H 0.5979 0.3407 0.9395
H 0.6442 0.1962 0.0573
H 0.8416 0.2268 0.8814
H 0.9646 0.3055 0.0921
N 0.2389 0.7659 0.0064
N 0.7611 0.2659 0.9936
Cl 0.0661 0.2478 0.6325
Cl 0.3485 0.4459 0.2572
Cl 0.4263 0.0522 0.2364
Cl 0.5737 0.5522 0.7636
Cl 0.6515 0.9459 0.7428
Cl 0.9339 0.7478 0.3674



No. 3
Structure and simulated X-ray diffraction stick pattern of Rb3Ga2I6 (a crystal structure in Alexandria, relaxed with GGA-PBE; λ = 1.5418 Å (Cu Kα)).
Neutral-atom scattering factors, no anomalous dispersion.

Principal peaks in the range 2θ = 5–70°, in order of rising 2θ:
d (Å)  Position (°2θ)  intensity
7.199  12.3  25
5.087  17.4  15
4.069  21.8  54
3.393  26.3  29
3.178  28.1  92
3.000  29.8  100
2.880  31.1  18
2.247  40.1  18
2.121  42.6  37
2.077  43.6  34
1.764  51.8  32
1.708  53.7  21

Crystal structure
Cell lengths 15.0094, 15.0094, 15.0094 Å; angles 156.94, 156.94, 32.83 degrees
Fractional coordinates of all 11 atoms:
Rb 0.0000 0.0000 0.0000
Rb 0.1728 0.1728 0.0000
Rb 0.8272 0.8272 0.0000
Ga 0.4013 0.4013 0.0000
Ga 0.5987 0.5987 0.0000
I 0.0843 0.5843 0.5000
I 0.3018 0.3018 0.0000
I 0.4157 0.9157 0.5000
I 0.5843 0.0843 0.5000
I 0.6982 0.6982 0.0000
I 0.9157 0.4157 0.5000



No. 4
Structure and simulated X-ray diffraction stick pattern of NaTl6 (a crystal structure in Alexandria, relaxed with GGA-PBE; λ = 1.5418 Å (Cu Kα)).
Neutral-atom scattering factors, no anomalous dispersion.

Principal peaks in the range 2θ = 5–70°, in order of rising 2θ:
d (Å)  Position (°2θ)  intensity
4.399  20.2  32
3.949  22.5  6
3.745  23.8  11
2.717  33.0  100
2.648  33.9  48
2.358  38.2  7
2.269  39.7  12
1.975  46.0  9
1.872  48.6  18
1.583  58.3  19
1.542  60.0  37
1.359  69.1  11

Crystal structure
Cell lengths 5.2960, 5.2960, 7.8990 Å; angles 90.00, 90.00, 90.00 degrees
Fractional coordinates of all 7 atoms:
Na 0.0000 0.0000 0.0000
Tl 0.0000 0.0000 0.5000
Tl 0.0000 0.5000 0.2647
Tl 0.0000 0.5000 0.7353
Tl 0.5000 0.0000 0.2647
Tl 0.5000 0.0000 0.7353
Tl 0.5000 0.5000 0.0000



No. 5
Structure and simulated X-ray diffraction stick pattern of Al4Zn2Ag5 (a crystal structure in Alexandria, relaxed with GGA-PBE; λ = 1.5418 Å (Cu Kα)).
Neutral-atom scattering factors, no anomalous dispersion.

Principal peaks in the range 2θ = 5–70°, in order of rising 2θ:
d (Å)  Position (°2θ)  intensity
5.202  17.0  29
3.282  27.2  42
2.728  32.8  75
2.709  33.1  15
2.267  39.8  62
2.254  40.0  28
2.187  41.3  100
2.167  41.7  31
2.132  42.4  67
2.065  43.8  23
1.515  61.2  17
1.386  67.6  24

Crystal structure
Cell lengths 9.5458, 9.5458, 6.5825 Å; angles 94.23, 94.23, 18.26 degrees
Fractional coordinates of all 11 atoms:
Al 0.0437 0.0437 0.3353
Al 0.2718 0.2718 0.1753
Al 0.7282 0.7282 0.8247
Al 0.9563 0.9563 0.6647
Zn 0.4168 0.4168 0.3227
Zn 0.5832 0.5832 0.6773
Ag 0.1347 0.1347 0.0296
Ag 0.1824 0.1824 0.4793
Ag 0.5000 0.5000 0.0000
Ag 0.8176 0.8176 0.5207
Ag 0.8653 0.8653 0.9704



No. 6
Structure and simulated X-ray diffraction stick pattern of PmPu2Ge2Pd7 (a crystal structure in Alexandria, relaxed with GGA-PBE; λ = 1.5418 Å (Cu Kα)).
Neutral-atom scattering factors, no anomalous dispersion.

Principal peaks in the range 2θ = 5–70°, in order of rising 2θ:
d (Å)  Position (°2θ)  intensity
3.233  27.6  36
2.872  31.1  31
2.812  31.8  57
2.625  34.2  43
2.541  35.3  66
2.532  35.4  48
2.447  36.7  100
2.399  37.5  23
2.207  40.9  30
2.120  42.7  44
2.042  44.4  90
1.436  64.9  21

Crystal structure
Cell lengths 4.0892, 4.0892, 14.1602 Å; angles 95.81, 95.81, 89.22 degrees
Fractional coordinates of all 12 atoms:
Pm 0.0000 0.0000 0.0000
Pu 0.1184 0.1184 0.3592
Pu 0.8816 0.8816 0.6408
Ge 0.4100 0.4100 0.7419
Ge 0.5900 0.5900 0.2581
Pd 0.0551 0.5547 0.1570
Pd 0.3471 0.3471 0.5636
Pd 0.4453 0.9449 0.8430
Pd 0.5000 0.5000 0.0000
Pd 0.5547 0.0551 0.1570
Pd 0.6529 0.6529 0.4364
Pd 0.9449 0.4453 0.8430